Structure and calculated powder diffractogram of Pr4DySe5 (a cell relaxed with PBE; Cu Kα (λ = 1.5418 Å)).

Principal peaks in the range 10° ≤ 2θ ≤ 90°, in order of rising 2θ:
- 2θ 25.8, I = 24
- 2θ 29.7, I = 49
- 2θ 29.9, I = 100
- 2θ 42.7, I = 72
- 2θ 42.8, I = 37
- 2θ 53.0, I = 38
- 2θ 70.5, I = 17
- 2θ 78.4, I = 24

a = 15.312 Å, b = 15.312 Å, c = 15.312 Å
α = 164.15°, β = 164.15°, γ = 22.49°
Positions (direct):
Pr1 0.102 0.102 0.000
Pr2 0.305 0.305 0.000
Pr3 0.695 0.695 0.000
Pr4 0.898 0.898 0.000
Dy1 0.500 0.500 0.000
Se1 0.000 0.000 0.000
Se2 0.203 0.203 0.000
Se3 0.405 0.405 0.000
Se4 0.595 0.595 0.000
Se5 0.797 0.797 0.000

=====

Structure and calculated powder diffractogram of EuPuTl4 (a cell relaxed with PBE; Cu Kα (λ = 1.5418 Å)).

Principal peaks in the range 10° ≤ 2θ ≤ 90°, in order of rising 2θ:
- 2θ 13.7, I = 100
- 2θ 22.4, I = 49
- 2θ 26.4, I = 25
- 2θ 27.6, I = 38
- 2θ 34.9, I = 63
- 2θ 39.4, I = 31
- 2θ 41.9, I = 54
- 2θ 45.8, I = 25

a = 7.927 Å, b = 7.927 Å, c = 7.927 Å
α = 60.00°, β = 60.00°, γ = 60.00°
Positions (direct):
Eu1 0.000 0.000 0.000
Pu1 0.750 0.750 0.750
Tl1 0.208 0.597 0.597
Tl2 0.597 0.208 0.597
Tl3 0.597 0.597 0.208
Tl4 0.597 0.597 0.597

=====

Structure and calculated powder diffractogram of CsNb2Si8O24 (a cell relaxed with PBE; Cu Kα (λ = 1.5418 Å)).

Principal peaks in the range 10° ≤ 2θ ≤ 90°, in order of rising 2θ:
- 2θ 12.9, I = 66
- 2θ 13.6, I = 87
- 2θ 15.9, I = 100
- 2θ 21.2, I = 43
- 2θ 25.2, I = 27
- 2θ 26.1, I = 69
- 2θ 26.8, I = 59
- 2θ 29.0, I = 24

a = 7.582 Å, b = 9.137 Å, c = 9.880 Å
α = 89.99°, β = 71.37°, γ = 88.37°
Positions (direct):
Cs1 0.000 0.000 0.000
Nb1 0.086 0.257 0.596
Nb2 0.914 0.743 0.404
Si1 0.261 0.998 0.306
Si2 0.285 0.496 0.315
Si3 0.419 0.242 0.082
Si4 0.432 0.252 0.762
Si5 0.568 0.748 0.238
Si6 0.581 0.758 0.918
Si7 0.715 0.504 0.685
Si8 0.739 0.002 0.694
O1 0.017 0.777 0.574
O2 0.086 0.898 0.308
O3 0.101 0.595 0.315
O4 0.226 0.097 0.451
O5 0.236 0.401 0.461
O6 0.244 0.244 0.715
O7 0.300 0.101 0.163
O8 0.347 0.393 0.173
O9 0.362 0.260 0.936
O10 0.362 0.796 0.944
O11 0.445 0.897 0.294
O12 0.455 0.604 0.309
O13 0.545 0.396 0.691
O14 0.555 0.103 0.706
O15 0.638 0.204 0.056
O16 0.638 0.740 0.064
O17 0.653 0.607 0.827
O18 0.700 0.899 0.837
O19 0.756 0.756 0.285
O20 0.764 0.599 0.539
O21 0.774 0.903 0.549
O22 0.899 0.405 0.685
O23 0.914 0.102 0.692
O24 0.983 0.223 0.426

=====

Structure and calculated powder diffractogram of ZrO (a cell relaxed with PBE; Cu Kα (λ = 1.5418 Å)).

Principal peaks in the range 10° ≤ 2θ ≤ 90°, in order of rising 2θ:
- 2θ 30.5, I = 100
- 2θ 31.0, I = 94
- 2θ 35.4, I = 44
- 2θ 36.0, I = 21
- 2θ 50.3, I = 16
- 2θ 51.5, I = 59
- 2θ 60.3, I = 26
- 2θ 61.2, I = 26

a = 6.163 Å, b = 6.111 Å, c = 5.066 Å
α = 66.15°, β = 65.09°, γ = 48.76°
Positions (direct):
Zr1 0.122 0.628 0.122
Zr2 0.372 0.878 0.372
Zr3 0.628 0.122 0.628
Zr4 0.878 0.372 0.878
O1 0.003 0.003 0.747
O2 0.253 0.253 0.997
O3 0.747 0.747 0.003
O4 0.997 0.997 0.253

=====

Structure and calculated powder diffractogram of BaSr4Pt (a cell relaxed with PBE; Cu Kα (λ = 1.5418 Å)).

Principal peaks in the range 10° ≤ 2θ ≤ 90°, in order of rising 2θ:
- 2θ 16.0, I = 30
- 2θ 17.8, I = 39
- 2θ 19.4, I = 29
- 2θ 26.8, I = 55
- 2θ 26.9, I = 100
- 2θ 34.6, I = 54
- 2θ 34.7, I = 32
- 2θ 41.7, I = 58

a = 10.393 Å, b = 10.393 Å, c = 8.346 Å
α = 105.56°, β = 105.56°, γ = 42.27°
Positions (direct):
Ba1 0.091 0.909 0.750
Ba2 0.909 0.091 0.250
Sr1 0.128 0.280 0.659
Sr2 0.280 0.128 0.159
Sr3 0.305 0.487 0.056
Sr4 0.487 0.305 0.556
Sr5 0.513 0.695 0.444
Sr6 0.695 0.513 0.944
Sr7 0.720 0.872 0.841
Sr8 0.872 0.720 0.341
Pt1 0.000 0.500 0.000
Pt2 0.500 0.000 0.500

=====

Structure and calculated powder diffractogram of BaSc5 (a cell relaxed with PBE; Cu Kα (λ = 1.5418 Å)).

Principal peaks in the range 10° ≤ 2θ ≤ 90°, in order of rising 2θ:
- 2θ 19.0, I = 29
- 2θ 25.3, I = 23
- 2θ 30.1, I = 37
- 2θ 33.3, I = 100
- 2θ 34.6, I = 95
- 2θ 45.6, I = 22
- 2θ 60.4, I = 20
- 2θ 65.3, I = 25

a = 5.375 Å, b = 9.492 Å, c = 9.492 Å
α = 20.46°, β = 90.00°, γ = 90.00°
Positions (direct):
Ba1 0.000 0.000 0.000
Sc1 0.000 0.324 0.324
Sc2 0.000 0.679 0.679
Sc3 0.500 0.232 0.232
Sc4 0.500 0.581 0.581
Sc5 0.500 0.882 0.882

=====

Structure and calculated powder diffractogram of KMn5Br12 (a cell relaxed with PBE; Cu Kα (λ = 1.5418 Å)).

Principal peaks in the range 10° ≤ 2θ ≤ 90°, in order of rising 2θ:
- 2θ 12.6, I = 100
- 2θ 25.4, I = 23
- 2θ 28.9, I = 56
- 2θ 29.0, I = 64
- 2θ 32.2, I = 47
- 2θ 41.4, I = 25
- 2θ 46.2, I = 24
- 2θ 46.3, I = 20

a = 6.877 Å, b = 6.877 Å, c = 14.018 Å
α = 90.32°, β = 90.32°, γ = 120.08°
Positions (direct):
K1 0.000 0.000 0.000
Mn1 0.167 0.833 0.500
Mn2 0.333 0.667 0.000
Mn3 0.500 0.500 0.500
Mn4 0.667 0.333 0.000
Mn5 0.833 0.167 0.500
Br1 0.003 0.404 0.113
Br2 0.163 0.163 0.395
Br3 0.168 0.502 0.605
Br4 0.399 0.399 0.887
Br5 0.404 0.003 0.113
Br6 0.498 0.832 0.395
Br7 0.502 0.168 0.605
Br8 0.596 0.997 0.887
Br9 0.601 0.601 0.113
Br10 0.832 0.498 0.395
Br11 0.837 0.837 0.605
Br12 0.997 0.596 0.887

=====

Structure and calculated powder diffractogram of Ho2Cu2BRh4 (a cell relaxed with PBE; Cu Kα (λ = 1.5418 Å)).

Principal peaks in the range 10° ≤ 2θ ≤ 90°, in order of rising 2θ:
- 2θ 38.3, I = 100
- 2θ 43.5, I = 36
- 2θ 46.5, I = 14
- 2θ 63.2, I = 12
- 2θ 65.5, I = 20
- 2θ 76.3, I = 26
- 2θ 80.7, I = 10
- 2θ 82.0, I = 11

a = 5.710 Å, b = 5.710 Å, c = 5.710 Å
α = 117.91°, β = 117.91°, γ = 93.65°
Positions (direct):
Ho1 0.250 0.750 0.500
Ho2 0.750 0.250 0.500
Cu1 0.230 0.230 0.000
Cu2 0.770 0.770 0.000
B1 0.500 0.500 0.000
Rh1 0.248 0.248 0.496
Rh2 0.248 0.752 0.000
Rh3 0.752 0.248 0.000
Rh4 0.752 0.752 0.504